# NaDyTi2O6
Computed PXRD pattern, Cu Kα. Input: a crystal structure in the Materials Project, relaxed with GGA-PBE.
Peak positions follow from Bragg's law for the DFT cell and can differ from measured ones.

Crystal structure
a b c (Å): 7.637 5.541 5.331
angles (deg): 90.00 90.00 90.00
Atoms (fractional coordinates):
Na1 0.000 0.217 0.000
Na2 0.500 0.783 0.500
Dy1 0.000 0.680 0.523
Dy2 0.500 0.320 0.023
Ti1 0.248 0.235 0.517
Ti2 0.252 0.765 0.017
Ti3 0.748 0.765 0.017
Ti4 0.752 0.235 0.517
O1 0.000 0.274 0.428
O2 0.000 0.775 0.107
O3 0.198 0.946 0.697
O4 0.209 0.465 0.783
O5 0.291 0.535 0.283
O6 0.302 0.054 0.197
O7 0.500 0.225 0.607
O8 0.500 0.726 0.928
O9 0.698 0.054 0.197
O10 0.709 0.535 0.283
O11 0.791 0.465 0.783
O12 0.802 0.946 0.697

The 10 most intense peaks (2θ = 15–90°), sorted by position:
two_theta  I (rel.)
19.8  49
20.3  63
26.0  18
32.3  19
33.1  100
33.6  26
39.3  19
47.3  25
47.6  18
59.8  24

# NaDyS2
Computed PXRD pattern, Cu Kα. Input: a crystal structure in the Materials Project, relaxed with GGA-PBE.
Peak positions follow from Bragg's law for the DFT cell and can differ from measured ones.

Crystal structure
a b c (Å): 3.989 3.989 19.935
angles (deg): 90.00 90.00 120.00
Atoms (fractional coordinates):
Na1 0.000 0.000 0.000
Na2 0.333 0.667 0.667
Na3 0.667 0.333 0.333
Dy1 0.000 0.000 0.500
Dy2 0.333 0.667 0.167
Dy3 0.667 0.333 0.833
S1 0.000 0.000 0.243
S2 0.000 0.000 0.757
S3 0.333 0.667 0.424
S4 0.333 0.667 0.909
S5 0.667 0.333 0.091
S6 0.667 0.333 0.576

The 10 most intense peaks (2θ = 15–90°), sorted by position:
two_theta  I (rel.)
26.2  44
27.3  31
31.5  100
34.3  18
41.1  19
44.8  36
45.5  35
47.6  21
56.4  18
75.2  15

# NaDySe2
Computed PXRD pattern, Cu Kα. Input: a crystal structure in the Materials Project, relaxed with GGA-PBE.
Peak positions follow from Bragg's law for the DFT cell and can differ from measured ones.

Crystal structure
a b c (Å): 4.153 4.153 21.033
angles (deg): 90.00 90.00 120.00
Atoms (fractional coordinates):
Na1 0.000 0.000 0.000
Na2 0.333 0.667 0.667
Na3 0.667 0.333 0.333
Dy1 0.000 0.000 0.500
Dy2 0.333 0.667 0.167
Dy3 0.667 0.333 0.833
Se1 0.000 0.000 0.243
Se2 0.000 0.000 0.757
Se3 0.333 0.667 0.424
Se4 0.333 0.667 0.909
Se5 0.667 0.333 0.091
Se6 0.667 0.333 0.576

The 10 most intense peaks (2θ = 15–90°), sorted by position:
two_theta  I (rel.)
25.1  22
30.1  100
39.1  15
42.6  37
43.6  37
45.6  14
53.9  19
70.3  15
71.7  16
79.4  12

# NaDyTl2
Computed PXRD pattern, Cu Kα. Input: a crystal structure in the Materials Project, relaxed with GGA-PBE.
Peak positions follow from Bragg's law for the DFT cell and can differ from measured ones.

Crystal structure
a b c (Å): 7.576 7.576 7.576
angles (deg): 90.00 90.00 90.00
Atoms (fractional coordinates):
Na1 0.000 0.000 0.000
Na2 0.000 0.500 0.500
Na3 0.500 0.000 0.500
Na4 0.500 0.500 0.000
Dy1 0.000 0.000 0.500
Dy2 0.000 0.500 0.000
Dy3 0.500 0.000 0.000
Dy4 0.500 0.500 0.500
Tl1 0.250 0.250 0.250
Tl2 0.250 0.250 0.750
Tl3 0.250 0.750 0.250
Tl4 0.250 0.750 0.750
Tl5 0.750 0.250 0.250
Tl6 0.750 0.250 0.750
Tl7 0.750 0.750 0.250
Tl8 0.750 0.750 0.750

The 10 most intense peaks (2θ = 15–90°), sorted by position:
two_theta  I (rel.)
20.3  12
23.5  16
33.5  100
39.4  7
41.3  5
48.0  18
54.1  7
59.8  38
70.3  12
80.1  17

# DyNbRu2
Computed PXRD pattern, Cu Kα. Input: a crystal structure in the Materials Project, relaxed with GGA-PBE.
Peak positions follow from Bragg's law for the DFT cell and can differ from measured ones.

Crystal structure
a b c (Å): 6.564 6.564 6.564
angles (deg): 90.00 90.00 90.00
Atoms (fractional coordinates):
Dy1 0.000 0.000 0.000
Dy2 0.000 0.500 0.500
Dy3 0.500 0.000 0.500
Dy4 0.500 0.500 0.000
Nb1 0.000 0.000 0.500
Nb2 0.000 0.500 0.000
Nb3 0.500 0.000 0.000
Nb4 0.500 0.500 0.500
Ru1 0.250 0.250 0.250
Ru2 0.250 0.250 0.750
Ru3 0.250 0.750 0.250
Ru4 0.250 0.750 0.750
Ru5 0.750 0.250 0.250
Ru6 0.750 0.250 0.750
Ru7 0.750 0.750 0.250
Ru8 0.750 0.750 0.750

The 10 most intense peaks (2θ = 15–90°), sorted by position:
two_theta  I (rel.)
23.5  5
27.2  1
38.8  100
45.9  3
56.0  17
61.6  1
70.3  34
75.2  1
83.3  11
88.0  1

# NdDyZn2
Computed PXRD pattern, Cu Kα. Input: a crystal structure in the Materials Project, relaxed with GGA-PBE.
Peak positions follow from Bragg's law for the DFT cell and can differ from measured ones.

Crystal structure
a b c (Å): 7.250 7.250 7.250
angles (deg): 90.00 90.00 90.00
Atoms (fractional coordinates):
Nd1 0.000 0.000 0.000
Nd2 0.000 0.500 0.500
Nd3 0.500 0.000 0.500
Nd4 0.500 0.500 0.000
Dy1 0.000 0.000 0.500
Dy2 0.000 0.500 0.000
Dy3 0.500 0.000 0.000
Dy4 0.500 0.500 0.500
Zn1 0.250 0.250 0.250
Zn2 0.250 0.250 0.750
Zn3 0.250 0.750 0.250
Zn4 0.250 0.750 0.750
Zn5 0.750 0.250 0.250
Zn6 0.750 0.250 0.750
Zn7 0.750 0.750 0.250
Zn8 0.750 0.750 0.750

The 10 most intense peaks (2θ = 15–90°), sorted by position:
two_theta  I (rel.)
24.6  16
35.0  100
43.2  5
50.3  18
56.8  7
62.8  36
74.0  11
79.3  3
84.5  16
89.7  2

# Dy2Ni7
Computed PXRD pattern, Cu Kα. Input: a crystal structure in the Materials Project, relaxed with GGA-PBE.
Peak positions follow from Bragg's law for the DFT cell and can differ from measured ones.

Crystal structure
a b c (Å): 12.358 12.358 12.358
angles (deg): 22.97 22.97 22.97
Atoms (fractional coordinates):
Dy1 0.051 0.051 0.051
Dy2 0.147 0.147 0.147
Dy3 0.853 0.853 0.853
Dy4 0.949 0.949 0.949
Ni1 0.000 0.500 0.500
Ni2 0.109 0.610 0.610
Ni3 0.278 0.278 0.278
Ni4 0.388 0.388 0.388
Ni5 0.390 0.390 0.891
Ni6 0.390 0.891 0.390
Ni7 0.500 0.000 0.500
Ni8 0.500 0.500 0.000
Ni9 0.500 0.500 0.500
Ni10 0.610 0.109 0.610
Ni11 0.610 0.610 0.109
Ni12 0.612 0.612 0.612
Ni13 0.722 0.722 0.722
Ni14 0.891 0.390 0.390

The 10 most intense peaks (2θ = 15–90°), sorted by position:
two_theta  I (rel.)
32.5  44
34.5  35
36.5  50
42.5  36
43.1  100
45.2  15
47.2  11
63.2  13
70.3  22
77.6  21

# Dy2Ni17
Computed PXRD pattern, Cu Kα. Input: a crystal structure in the Materials Project, relaxed with GGA-PBE.
Peak positions follow from Bragg's law for the DFT cell and can differ from measured ones.

Crystal structure
a b c (Å): 8.228 8.228 8.039
angles (deg): 90.00 90.00 120.00
Atoms (fractional coordinates):
Dy1 0.000 0.000 0.250
Dy2 0.000 0.000 0.750
Dy3 0.333 0.667 0.250
Dy4 0.667 0.333 0.750
Ni1 0.000 0.500 0.000
Ni2 0.000 0.500 0.500
Ni3 0.042 0.370 0.750
Ni4 0.042 0.672 0.750
Ni5 0.166 0.331 0.020
Ni6 0.166 0.331 0.480
Ni7 0.166 0.834 0.020
Ni8 0.166 0.834 0.480
Ni9 0.328 0.370 0.750
Ni10 0.328 0.958 0.750
Ni11 0.331 0.166 0.520
Ni12 0.331 0.166 0.980
Ni13 0.333 0.667 0.602
Ni14 0.333 0.667 0.898
Ni15 0.370 0.042 0.250
Ni16 0.370 0.328 0.250
Ni17 0.500 0.000 0.000
Ni18 0.500 0.000 0.500
Ni19 0.500 0.500 0.000
Ni20 0.500 0.500 0.500
Ni21 0.630 0.672 0.750
Ni22 0.630 0.958 0.750
Ni23 0.667 0.333 0.102
Ni24 0.667 0.333 0.398
Ni25 0.669 0.834 0.020
Ni26 0.669 0.834 0.480
Ni27 0.672 0.042 0.250
Ni28 0.672 0.630 0.250
Ni29 0.834 0.166 0.520
Ni30 0.834 0.166 0.980
Ni31 0.834 0.669 0.520
Ni32 0.834 0.669 0.980
Ni33 0.958 0.328 0.250
Ni34 0.958 0.630 0.250

The 10 most intense peaks (2θ = 15–90°), sorted by position:
two_theta  I (rel.)
31.1  36
37.9  41
42.2  37
44.0  61
44.3  100
45.1  32
49.8  21
64.9  17
81.0  17
82.7  19